Theoretical X-ray diffraction stick pattern
Compound: Pm4CoRh
Radiation: Cu Ka
Structure: a DFT-relaxed cell (GGA-PBE, Alexandria)
Peak positions follow from Bragg's law for the DFT cell and can differ from measured ones.

Cell and atoms:
Lattice parameters (Å, degrees): 9.1301 14.2712 6.6750 90.00 131.82 90.00
Space group C2/c (No. 15)
Symmetry-distinct sites (fractional):
1 Pm 0.1755 0.2027 0.1884 (multiplicity 8)
2 Pm 0.2294 0.4546 0.1461 (multiplicity 8)
3 Co 0.0000 0.3274 0.7500 (multiplicity 4)
4 Rh 0.0000 0.3728 0.2500 (multiplicity 4)

Largest 12 diffraction maxima, in order of rising 2θ, 2θ = 10–90°:
2theta, Rel. int., index
14.4, 24, 1 1 0
26.2, 24, 2 0 0
29.1, 44, 1 1 1
30.8, 100, 0 4 1
31.6, 50, 3 1 -2
31.8, 63, 2 4 -1
34.6, 41, 1 3 -2
36.1, 47, 0 0 2
36.5, 23, 2 4 0
39.5, 25, 4 0 -2
44.2, 26, 3 3 0
45.1, 21, 3 3 -3